# 1
Starting from a DFT-relaxed cell (GGA-PBE, Alexandria), the powder diffraction line list of ZrPb was computed for Cu Ka.
Kinematic intensities with the Lorentz-polarization factor, no thermal factor.

Cell and atoms:
a = 5.973 Å, b = 6.322 Å, c = 10.598 Å
α = 90.00°, β = 90.00°, γ = 90.00°
Atoms (fractional coordinates):
Zr 0.164 0.025 0.165
Zr 0.164 0.475 0.665
Zr 0.336 0.525 0.165
Zr 0.336 0.975 0.665
Zr 0.664 0.025 0.335
Zr 0.664 0.475 0.835
Zr 0.836 0.525 0.335
Zr 0.836 0.975 0.835
Pb 0.177 0.198 0.420
Pb 0.177 0.302 0.920
Pb 0.323 0.698 0.420
Pb 0.323 0.802 0.920
Pb 0.677 0.198 0.080
Pb 0.677 0.302 0.580
Pb 0.823 0.698 0.080
Pb 0.823 0.802 0.580

Top 8 peaks for 2θ = 10–90°, low angle first:
d = 3.964 Å, 2θ 22.4, I = 32; d = 2.986 Å, 2θ 29.9, I = 33; d = 2.715 Å, 2θ 33.0, I = 30; d = 2.701 Å, 2θ 33.2, I = 76; d = 2.617 Å, 2θ 34.3, I = 30; d = 2.471 Å, 2θ 36.4, I = 100; d = 2.422 Å, 2θ 37.1, I = 72; d = 1.543 Å, 2θ 60.0, I = 43

# 2
Starting from a DFT-relaxed cell (GGA-PBE, Alexandria), the powder diffraction line list of Fe3AgCl12 was computed for Cu Ka.
Kinematic intensities with the Lorentz-polarization factor, no thermal factor.

Cell and atoms:
a = 11.534 Å, b = 11.534 Å, c = 11.534 Å
α = 61.58°, β = 61.58°, γ = 61.58°
Atoms (fractional coordinates):
Fe 0.043 0.332 0.625
Fe 0.125 0.832 0.543
Fe 0.332 0.625 0.043
Fe 0.543 0.125 0.832
Fe 0.625 0.043 0.332
Fe 0.832 0.543 0.125
Ag 0.217 0.217 0.217
Ag 0.717 0.717 0.717
Cl 0.051 0.158 0.811
Cl 0.068 0.281 0.452
Cl 0.072 0.906 0.704
Cl 0.158 0.811 0.051
Cl 0.165 0.978 0.328
Cl 0.204 0.406 0.572
Cl 0.281 0.452 0.068
Cl 0.311 0.658 0.551
Cl 0.328 0.165 0.978
Cl 0.406 0.572 0.204
Cl 0.452 0.068 0.281
Cl 0.478 0.665 0.828
Cl 0.551 0.311 0.658
Cl 0.568 0.952 0.781
Cl 0.572 0.204 0.406
Cl 0.658 0.551 0.311
Cl 0.665 0.828 0.478
Cl 0.704 0.072 0.906
Cl 0.781 0.568 0.952
Cl 0.811 0.051 0.158
Cl 0.828 0.478 0.665
Cl 0.906 0.704 0.072
Cl 0.952 0.781 0.568
Cl 0.978 0.328 0.165

Top 8 peaks for 2θ = 10–90°, low angle first:
d = 8.249 Å, 2θ 10.7, I = 38; d = 5.764 Å, 2θ 15.4, I = 19; d = 4.985 Å, 2θ 17.8, I = 100; d = 4.801 Å, 2θ 18.5, I = 14; d = 4.124 Å, 2θ 21.5, I = 16; d = 3.829 Å, 2θ 23.2, I = 21; d = 3.654 Å, 2θ 24.4, I = 17; d = 2.590 Å, 2θ 34.6, I = 20

# 3
Starting from a DFT-relaxed cell (GGA-PBE, Alexandria), the powder diffraction line list of Dy4Hg5Pd2 was computed for Cu Ka.
Kinematic intensities with the Lorentz-polarization factor, no thermal factor.

Cell and atoms:
a = 7.664 Å, b = 3.585 Å, c = 9.649 Å
α = 90.00°, β = 93.67°, γ = 90.00°
Atoms (fractional coordinates):
Dy 0.180 0.000 0.355
Dy 0.233 0.000 0.936
Dy 0.767 0.000 0.064
Dy 0.820 0.000 0.645
Hg 0.169 0.500 0.642
Hg 0.452 0.500 0.173
Hg 0.500 0.500 0.500
Hg 0.548 0.500 0.827
Hg 0.831 0.500 0.358
Pd 0.071 0.500 0.136
Pd 0.929 0.500 0.864

Top 8 peaks for 2θ = 10–90°, low angle first:
d = 2.894 Å, 2θ 30.9, I = 56; d = 2.726 Å, 2θ 32.9, I = 91; d = 2.658 Å, 2θ 33.7, I = 100; d = 2.615 Å, 2θ 34.3, I = 77; d = 2.549 Å, 2θ 35.2, I = 57; d = 2.496 Å, 2θ 36.0, I = 51; d = 2.341 Å, 2θ 38.5, I = 69; d = 1.465 Å, 2θ 63.5, I = 50

# 4
Starting from a DFT-relaxed cell (GGA-PBE, Alexandria), the powder diffraction line list of U3Si7Ir2 was computed for Cu Ka.
Kinematic intensities with the Lorentz-polarization factor, no thermal factor.

Cell and atoms:
a = 4.117 Å, b = 4.081 Å, c = 12.629 Å
α = 90.00°, β = 98.57°, γ = 90.00°
Atoms (fractional coordinates):
U 0.000 0.000 0.000
U 0.303 0.500 0.630
U 0.697 0.500 0.370
Si 0.163 0.500 0.169
Si 0.231 0.000 0.451
Si 0.430 0.000 0.835
Si 0.500 0.500 0.000
Si 0.570 0.000 0.165
Si 0.769 0.000 0.549
Si 0.837 0.500 0.831
Ir 0.102 0.000 0.261
Ir 0.898 0.000 0.739

Top 8 peaks for 2θ = 10–90°, low angle first:
d = 4.163 Å, 2θ 21.3, I = 47; d = 3.879 Å, 2θ 22.9, I = 51; d = 2.879 Å, 2θ 31.1, I = 100; d = 2.729 Å, 2θ 32.8, I = 38; d = 2.496 Å, 2θ 36.0, I = 44; d = 2.480 Å, 2θ 36.2, I = 97; d = 2.059 Å, 2θ 44.0, I = 39; d = 2.040 Å, 2θ 44.4, I = 41